Theoretical powder diffraction line list of Ba2NbP2O9F for Cu Kα (λ = 1.5418 Å), from the GGA-PBE geometry in Alexandria.

Main lines, low angle first (2θ from 10° to 90°):
2θ/deg, I/Imax, hkl
17.23, 24, 1 1 0
19.93, 94, 1 1 1
22.84, 100, 1 0 -2
26.06, 91, 0 2 1
27.60, 36, 2 1 0
29.12, 66, 2 1 -1
31.74, 61, 0 1 3
32.01, 39, 2 0 2
36.42, 26, 2 2 1
37.52, 29, 3 0 0

Atomic structure:
Cell: 7.1927 7.3709 9.1548 Å, 90.00 91.31 90.00°
Element x y z (fractional)
Ba 0.1712 0.0000 0.0667
Ba 0.1736 0.2261 0.5754
Ba 0.8264 0.7261 0.4246
Ba 0.8288 0.5000 0.9333
Nb 0.4764 0.3594 0.2519
Nb 0.5236 0.8594 0.7481
P 0.2997 0.7178 0.4270
P 0.3022 0.5142 0.9286
P 0.6978 0.0142 0.0714
P 0.7003 0.2178 0.5730
O 0.1722 0.5822 0.5008
O 0.1731 0.6464 0.0047
O 0.1893 0.8724 0.3552
O 0.1923 0.3575 0.8593
O 0.2411 0.2829 0.2683
O 0.4276 0.6129 0.8141
O 0.4321 0.6218 0.3148
O 0.4481 0.7998 0.5394
O 0.4560 0.4355 0.0387
O 0.5440 0.9355 0.9613
O 0.5519 0.2998 0.4606
O 0.5679 0.1218 0.6852
O 0.5724 0.1129 0.1859
O 0.7589 0.7829 0.7317
O 0.8077 0.8575 0.1407
O 0.8107 0.3724 0.6448
O 0.8269 0.1464 0.9953
O 0.8278 0.0822 0.4992
F 0.2416 0.9579 0.7717
F 0.7584 0.4579 0.2283